Rb2NiTeO4: theoretical powder diffraction line list (a wavelength of 1.5418 Å), based on a GGA+U-relaxed structure.
Peak positions follow from Bragg's law for the DFT cell and can differ from measured ones.

Principal peaks in the range 10 to 80 degrees two-theta, in order of falling intensity:
d [Å]  2θ/deg  I/Imax  h k l
3.136  28.5  100  1 -1 1
2.977  30.0  43  1 1 -2
3.067  29.1  43  1 1 0
3.079  29.0  42  -1 1 1
2.263  39.8  39  2 0 -1
5.487  16.2  37  0 1 0

Cell and atoms:
Cell: 4.533 6.271 6.651 Å, 116.65 107.05 92.47°
Space group P1 (No. 1)
Symmetry-distinct sites (fractional):
Rb 0.000 0.000 0.000
Rb 0.202 0.707 0.361
Ni 0.752 0.338 0.469
Te 0.423 0.373 0.844
O 0.216 0.326 0.510
O 0.484 0.714 0.005
O 0.627 0.390 0.209
O 0.818 0.347 0.774